Starting from a PBE+U-relaxed structure, the X-ray powder pattern of K3NaCr2O8 was calculated for copper Kα.

Structural model:
```
K3NaCr2O8
1.0
5.1623 -2.9717 0.0000
5.1623 2.9717 0.0000
-0.0269 0.0000 15.2999
K Na Cr O
6 2 4 16
direct
0.0545 0.9455 0.7500
0.3102 0.3490 0.4108
0.3490 0.3102 0.9108
0.6510 0.6898 0.0892
0.6898 0.6510 0.5892
0.9455 0.0545 0.2500
0.0000 0.0000 0.0000
0.0000 0.0000 0.5000
0.3203 0.3537 0.1341
0.3537 0.3203 0.6341
0.6463 0.6797 0.3659
0.6797 0.6463 0.8659
0.1531 0.2203 0.0934
0.1538 0.6740 0.1167
0.2203 0.1531 0.5934
0.2263 0.6044 0.5811
0.2870 0.3778 0.7391
0.3260 0.8462 0.3833
0.3778 0.2870 0.2391
0.3956 0.7737 0.9189
0.6044 0.2263 0.0811
0.6222 0.7130 0.7609
0.6740 0.1538 0.6167
0.7130 0.6222 0.2609
0.7737 0.3956 0.4189
0.7797 0.8469 0.4066
0.8462 0.3260 0.8833
0.8469 0.7797 0.9066
```

Largest 10 diffraction maxima, by intensity, 2θ from 5° to 70°:
30.0 deg, I = 100; 29.1 deg, I = 63; 42.3 deg, I = 45; 20.8 deg, I = 38; 23.3 deg, I = 18; 17.2 deg, I = 12; 52.8 deg, I = 12; 62.4 deg, I = 12; 57.3 deg, I = 11; 34.8 deg, I = 9

---

Starting from a PBE+U-relaxed structure, the X-ray powder pattern of LiVPO5 was calculated for copper Kα.

Structural model:
```
LiVPO5
1.0
6.3339 0.0000 0.0000
0.0000 11.2032 0.0000
-1.0716 0.0000 5.9648
Li V P O
4 4 4 20
direct
0.0309 0.1131 0.3896
0.0309 0.3869 0.8896
0.9691 0.6131 0.1104
0.9691 0.8869 0.6104
0.2986 0.6693 0.5157
0.2986 0.8307 0.0157
0.7014 0.1693 0.9843
0.7014 0.3307 0.4843
0.2042 0.0989 0.9246
0.2042 0.4011 0.4246
0.7958 0.5989 0.5754
0.7958 0.9011 0.0754
0.0419 0.1663 0.0441
0.0419 0.3337 0.5441
0.1075 0.0496 0.6953
0.1075 0.4504 0.1953
0.2684 0.7151 0.2361
0.2684 0.7849 0.7361
0.2988 0.5071 0.5882
0.2988 0.9929 0.0882
0.3943 0.1849 0.9102
0.3943 0.3151 0.4102
0.6057 0.6849 0.5898
0.6057 0.8151 0.0898
0.7012 0.0071 0.9118
0.7012 0.4929 0.4118
0.7316 0.2151 0.2639
0.7316 0.2849 0.7639
0.8925 0.5496 0.8047
0.8925 0.9504 0.3047
0.9581 0.6663 0.4559
0.9581 0.8337 0.9559
```

Largest 10 diffraction maxima, by intensity, 2θ from 5° to 70°:
16.8 deg, I = 100; 28.2 deg, I = 32; 31.0 deg, I = 25; 27.8 deg, I = 14; 28.6 deg, I = 14; 16.3 deg, I = 13; 30.0 deg, I = 11; 44.3 deg, I = 11; 37.3 deg, I = 10; 20.3 deg, I = 8

---

Starting from a PBE+U-relaxed structure, the X-ray powder pattern of K2MgFe2O4 was calculated for copper Kα.

Structural model:
```
K2MgFe2O4
1.0
6.8464 -1.7378 0.0000
6.8464 1.7378 0.0000
-2.9978 0.0000 6.5759
K Mg Fe O
2 1 2 4
direct
0.0000 0.0000 0.0000
0.5105 0.5105 0.5195
0.2960 0.2960 0.6559
0.6974 0.6974 0.3275
0.7643 0.7643 0.9868
0.1495 0.1495 0.4251
0.3256 0.3256 0.9528
0.6390 0.6390 0.0281
0.8468 0.8468 0.5902
```

Largest 10 diffraction maxima, by intensity, 2θ from 5° to 70°:
14.2 deg, I = 100; 31.3 deg, I = 96; 30.3 deg, I = 95; 27.1 deg, I = 89; 32.7 deg, I = 86; 26.6 deg, I = 74; 23.4 deg, I = 64; 37.4 deg, I = 59; 52.7 deg, I = 46; 46.1 deg, I = 46

---

Starting from a PBE+U-relaxed structure, the X-ray powder pattern of Na2Fe2O5 was calculated for copper Kα.

Structural model:
```
Na2Fe2O5
1.0
-7.3325 2.7691 2.7268
7.3325 -2.7691 2.7268
7.3325 2.7691 -2.7268
Na Fe O
4 4 10
direct
0.0219 0.1067 0.1287
0.0219 0.3933 0.4152
0.9781 0.6067 0.5848
0.9781 0.8933 0.8713
0.3891 0.7095 0.1797
0.5074 0.0074 0.5000
0.5074 0.5074 0.0000
0.5298 0.2095 0.8203
0.0092 0.2671 0.7609
0.0092 0.7483 0.2421
0.2538 0.8727 0.8811
0.4718 0.1615 0.5886
0.4718 0.3832 0.8103
0.5062 0.2483 0.2391
0.5062 0.7671 0.7579
0.5730 0.6615 0.1897
0.5730 0.8832 0.4114
0.9916 0.3727 0.1189
```

Largest 10 diffraction maxima, by intensity, 2θ from 5° to 70°:
33.6 deg, I = 100; 22.9 deg, I = 77; 24.3 deg, I = 53; 46.8 deg, I = 49; 32.8 deg, I = 48; 32.3 deg, I = 36; 59.1 deg, I = 27; 49.7 deg, I = 26; 53.0 deg, I = 15; 17.1 deg, I = 15

---

Starting from a PBE+U-relaxed structure, the X-ray powder pattern of Li3Co2Si2O8 was calculated for copper Kα.

Structural model:
```
Li3Co2Si2O8
1.0
5.2297 0.0000 0.0000
0.1291 5.2293 0.0000
0.0138 0.0184 6.4170
Li Co Si O
3 2 2 8
direct
0.0000 0.0000 0.0000
0.1275 0.4938 0.2526
0.5058 0.8718 0.7473
0.1379 0.5025 0.7433
0.4968 0.8618 0.2567
0.6318 0.3676 0.0002
0.9911 0.0095 0.4999
0.0466 0.3162 0.5059
0.1129 0.8776 0.7155
0.1227 0.8862 0.2841
0.4981 0.4943 0.7932
0.5049 0.5024 0.2079
0.6001 0.0513 0.0100
0.6836 0.9518 0.4933
0.9493 0.3982 0.9911
```

Largest 10 diffraction maxima, by intensity, 2θ from 5° to 70°:
21.9 deg, I = 100; 34.3 deg, I = 41; 32.8 deg, I = 38; 27.6 deg, I = 14; 24.4 deg, I = 12; 60.5 deg, I = 12; 60.4 deg, I = 12; 41.5 deg, I = 11; 37.1 deg, I = 11; 57.4 deg, I = 8

---

Repeat the fourth record exactly.
Starting from a PBE+U-relaxed structure, the X-ray powder pattern of Na2Fe2O5 was calculated for copper Kα.

Structural model:
```
Na2Fe2O5
1.0
-7.3325 2.7691 2.7268
7.3325 -2.7691 2.7268
7.3325 2.7691 -2.7268
Na Fe O
4 4 10
direct
0.0219 0.1067 0.1287
0.0219 0.3933 0.4152
0.9781 0.6067 0.5848
0.9781 0.8933 0.8713
0.3891 0.7095 0.1797
0.5074 0.0074 0.5000
0.5074 0.5074 0.0000
0.5298 0.2095 0.8203
0.0092 0.2671 0.7609
0.0092 0.7483 0.2421
0.2538 0.8727 0.8811
0.4718 0.1615 0.5886
0.4718 0.3832 0.8103
0.5062 0.2483 0.2391
0.5062 0.7671 0.7579
0.5730 0.6615 0.1897
0.5730 0.8832 0.4114
0.9916 0.3727 0.1189
```

Largest 10 diffraction maxima, by intensity, 2θ from 5° to 70°:
33.6 deg, I = 100; 22.9 deg, I = 77; 24.3 deg, I = 53; 46.8 deg, I = 49; 32.8 deg, I = 48; 32.3 deg, I = 36; 59.1 deg, I = 27; 49.7 deg, I = 26; 53.0 deg, I = 15; 17.1 deg, I = 15